Entry 1:
Diffraction record for InGaAg2Se4. The X-ray powder pattern is simulated, not measured: it uses a structure optimized by DFT (PBE) and a wavelength of 1.5418 Å.
Lines closer than 0.1° are merged.

Structural model:
a b c (Å): 6.129 6.129 11.664
angles (deg): 90.00 90.00 90.00
Fractional coordinates of all 16 atoms:
In: 0.000 0.000 0.000
In: 0.500 0.500 0.500
Ga: 0.000 0.500 0.750
Ga: 0.500 0.000 0.250
Ag: 0.000 0.000 0.500
Ag: 0.000 0.500 0.250
Ag: 0.500 0.000 0.750
Ag: 0.500 0.500 0.000
Se: 0.233 0.264 0.869
Se: 0.236 0.733 0.631
Se: 0.264 0.767 0.131
Se: 0.267 0.236 0.369
Se: 0.733 0.764 0.369
Se: 0.736 0.233 0.131
Se: 0.764 0.267 0.631
Se: 0.767 0.736 0.869

Most intense lines, 10 to 90 degrees two-theta, sorted by position:
25.61°, 3.478 Å, intensity 1000; 41.68°, 2.167 Å, intensity 256; 42.81°, 2.112 Å, intensity 476; 49.56°, 1.839 Å, intensity 308; 51.52°, 1.774 Å, intensity 139; 60.42°, 1.532 Å, intensity 80; 68.34°, 1.373 Å, intensity 119; 76.86°, 1.240 Å, intensity 152; 79.18°, 1.210 Å, intensity 72; 81.82°, 1.177 Å, intensity 66

---

Entry 2:
Diffraction record for SrZrP2O8. The X-ray powder pattern is simulated, not measured: it uses a structure optimized by DFT (PBE) and a wavelength of 1.5418 Å.
Lines closer than 0.1° are merged.

Structural model:
a b c (Å): 5.192 7.852 8.027
angles (deg): 92.30 95.99 90.33
Fractional coordinates of all 24 atoms:
Sr: 0.199 0.023 0.268
Sr: 0.801 0.977 0.732
Zr: 0.161 0.526 0.223
Zr: 0.839 0.474 0.777
P: 0.284 0.250 0.872
P: 0.300 0.711 0.623
P: 0.700 0.289 0.377
P: 0.716 0.750 0.128
O: 0.062 0.686 0.725
O: 0.089 0.260 0.710
O: 0.189 0.416 0.967
O: 0.238 0.087 0.959
O: 0.272 0.583 0.472
O: 0.310 0.898 0.576
O: 0.431 0.725 0.166
O: 0.452 0.332 0.261
O: 0.548 0.668 0.739
O: 0.569 0.275 0.834
O: 0.690 0.102 0.424
O: 0.728 0.417 0.528
O: 0.762 0.913 0.041
O: 0.811 0.584 0.033
O: 0.911 0.740 0.290
O: 0.938 0.314 0.275

Most intense lines, 10 to 90 degrees two-theta, sorted by position:
19.48°, 4.558 Å, intensity 545; 22.29°, 3.988 Å, intensity 1000; 22.68°, 3.920 Å, intensity 365; 28.44°, 3.139 Å, intensity 414; 29.84°, 2.995 Å, intensity 967; 30.28°, 2.952 Å, intensity 514; 30.94°, 2.890 Å, intensity 341; 31.88°, 2.807 Å, intensity 472; 39.72°, 2.269 Å, intensity 378; 42.55°, 2.125 Å, intensity 375

---

Entry 3:
Diffraction record for Ba4MgCu4O8. The X-ray powder pattern is simulated, not measured: it uses a structure optimized by DFT (PBE) and a wavelength of 1.5418 Å.
Lines closer than 0.1° are merged.

Structural model:
a b c (Å): 3.485 6.113 14.277
angles (deg): 96.63 90.05 90.01
Fractional coordinates of all 17 atoms:
Ba: 0.000 0.000 0.130
Ba: 0.000 0.000 0.870
Ba: 0.001 0.542 0.312
Ba: 0.999 0.458 0.688
Mg: 0.000 0.000 0.500
Cu: 0.499 0.973 0.656
Cu: 0.500 0.485 0.914
Cu: 0.500 0.515 0.086
Cu: 0.501 0.027 0.344
O: 0.499 0.176 0.569
O: 0.500 0.222 0.258
O: 0.500 0.257 0.006
O: 0.500 0.290 0.806
O: 0.500 0.710 0.194
O: 0.500 0.743 0.994
O: 0.500 0.778 0.742
O: 0.501 0.824 0.431

Most intense lines, 10 to 90 degrees two-theta, sorted by position:
12.48°, 7.091 Å, intensity 347; 22.46°, 3.958 Å, intensity 379; 25.14°, 3.542 Å, intensity 480; 29.41°, 3.037 Å, intensity 840; 29.87°, 2.992 Å, intensity 490; 30.60°, 2.922 Å, intensity 1000; 31.52°, 2.838 Å, intensity 717; 34.28°, 2.616 Å, intensity 607; 36.18°, 2.483 Å, intensity 891; 40.98°, 2.202 Å, intensity 470

---

Entry 4:
Diffraction record for PrHf2F11. The X-ray powder pattern is simulated, not measured: it uses a structure optimized by DFT (PBE) and a wavelength of 1.5418 Å.
Lines closer than 0.1° are merged.

Structural model:
a b c (Å): 8.449 8.449 8.449
angles (deg): 125.04 106.78 97.89
Fractional coordinates of all 28 atoms:
Pr: 0.250 0.250 0.000
Pr: 0.750 0.750 0.000
Hf: 0.180 0.634 0.814
Hf: 0.320 0.134 0.454
Hf: 0.680 0.866 0.546
Hf: 0.820 0.366 0.186
F: 0.000 0.500 0.500
F: 0.051 0.365 0.160
F: 0.051 0.966 0.287
F: 0.179 0.466 0.916
F: 0.206 0.892 0.840
F: 0.221 0.371 0.592
F: 0.279 0.871 0.150
F: 0.294 0.135 0.686
F: 0.321 0.237 0.287
F: 0.449 0.608 0.314
F: 0.449 0.737 0.916
F: 0.500 0.000 0.500
F: 0.551 0.263 0.084
F: 0.551 0.392 0.686
F: 0.679 0.763 0.713
F: 0.706 0.865 0.314
F: 0.721 0.129 0.850
F: 0.779 0.629 0.408
F: 0.794 0.108 0.160
F: 0.821 0.534 0.084
F: 0.949 0.034 0.713
F: 0.949 0.635 0.840

Most intense lines, 10 to 90 degrees two-theta, sorted by position:
15.97°, 5.549 Å, intensity 447; 21.54°, 4.125 Å, intensity 1000; 22.48°, 3.955 Å, intensity 559; 23.85°, 3.731 Å, intensity 768; 25.78°, 3.456 Å, intensity 890; 28.94°, 3.085 Å, intensity 349; 43.89°, 2.063 Å, intensity 493; 45.06°, 2.012 Å, intensity 213; 47.14°, 1.928 Å, intensity 356; 49.53°, 1.840 Å, intensity 397

---

Entry 5:
Diffraction record for Zr2CoP. The X-ray powder pattern is simulated, not measured: it uses a structure optimized by DFT (PBE) and a wavelength of 1.5418 Å.
Lines closer than 0.1° are merged.

Structural model:
a b c (Å): 5.272 3.660 7.428
angles (deg): 90.00 110.34 90.00
Fractional coordinates of all 8 atoms:
Zr: 0.208 0.250 0.419
Zr: 0.275 0.750 0.064
Zr: 0.725 0.250 0.936
Zr: 0.792 0.750 0.581
Co: 0.146 0.250 0.789
Co: 0.854 0.750 0.211
P: 0.358 0.750 0.711
P: 0.642 0.250 0.289

Most intense lines, 10 to 90 degrees two-theta, sorted by position:
30.44°, 2.937 Å, intensity 263; 35.54°, 2.526 Å, intensity 1000; 36.35°, 2.472 Å, intensity 249; 36.57°, 2.457 Å, intensity 458; 44.21°, 2.048 Å, intensity 233; 44.40°, 2.040 Å, intensity 442; 48.79°, 1.867 Å, intensity 212; 49.82°, 1.830 Å, intensity 205; 63.36°, 1.468 Å, intensity 174; 72.30°, 1.307 Å, intensity 124

---

Entry 6:
Diffraction record for TlMo6S8. The X-ray powder pattern is simulated, not measured: it uses a structure optimized by DFT (PBE) and a wavelength of 1.5418 Å.
Lines closer than 0.1° are merged.

Structural model:
a b c (Å): 6.662 6.662 6.662
angles (deg): 88.98 88.98 88.98
Fractional coordinates of all 15 atoms:
Tl: 0.000 0.000 0.000
Mo: 0.229 0.413 0.563
Mo: 0.413 0.563 0.229
Mo: 0.437 0.771 0.587
Mo: 0.563 0.229 0.413
Mo: 0.587 0.437 0.771
Mo: 0.771 0.587 0.437
S: 0.124 0.733 0.393
S: 0.247 0.247 0.247
S: 0.267 0.607 0.876
S: 0.393 0.124 0.733
S: 0.607 0.876 0.267
S: 0.733 0.393 0.124
S: 0.753 0.753 0.753
S: 0.876 0.267 0.607

Most intense lines, 10 to 90 degrees two-theta, sorted by position:
13.29°, 6.660 Å, intensity 517; 18.68°, 4.751 Å, intensity 846; 19.01°, 4.669 Å, intensity 753; 23.27°, 3.823 Å, intensity 394; 30.21°, 2.958 Å, intensity 1000; 33.04°, 2.711 Å, intensity 470; 39.98°, 2.255 Å, intensity 601; 40.97°, 2.203 Å, intensity 664; 42.71°, 2.117 Å, intensity 627; 45.23°, 2.005 Å, intensity 887

---

Entry 7:
Diffraction record for KSrPrSeO6. The X-ray powder pattern is simulated, not measured: it uses a structure optimized by DFT (PBE) and a wavelength of 1.5418 Å.
Lines closer than 0.1° are merged.

Structural model:
a b c (Å): 5.874 5.874 5.874
angles (deg): 60.00 60.00 60.00
Fractional coordinates of all 10 atoms:
K: 0.000 0.000 0.000
Sr: 0.500 0.500 0.500
Pr: 0.750 0.750 0.750
Se: 0.250 0.250 0.250
O: 0.029 0.029 0.471
O: 0.029 0.471 0.029
O: 0.029 0.471 0.471
O: 0.471 0.029 0.029
O: 0.471 0.029 0.471
O: 0.471 0.471 0.029

Most intense lines, 10 to 90 degrees two-theta, sorted by position:
18.50°, 4.796 Å, intensity 82; 21.39°, 4.154 Å, intensity 198; 30.43°, 2.937 Å, intensity 1000; 35.85°, 2.505 Å, intensity 85; 43.58°, 2.077 Å, intensity 338; 49.04°, 1.858 Å, intensity 72; 54.08°, 1.696 Å, intensity 377; 63.33°, 1.469 Å, intensity 197; 71.88°, 1.313 Å, intensity 182; 87.97°, 1.110 Å, intensity 214

---

Entry 8:
Diffraction record for PrBr5N2. The X-ray powder pattern is simulated, not measured: it uses a structure optimized by DFT (PBE) and a wavelength of 1.5418 Å.
Lines closer than 0.1° are merged.

Structural model:
a b c (Å): 14.639 9.087 9.369
angles (deg): 90.00 90.00 90.00
Fractional coordinates of all 32 atoms:
Pr: 0.034 0.250 0.021
Pr: 0.466 0.750 0.521
Pr: 0.534 0.250 0.479
Pr: 0.966 0.750 0.979
Br: 0.019 0.750 0.667
Br: 0.101 0.550 0.114
Br: 0.101 0.950 0.114
Br: 0.192 0.250 0.861
Br: 0.205 0.250 0.465
Br: 0.295 0.750 0.965
Br: 0.308 0.750 0.361
Br: 0.399 0.050 0.614
Br: 0.399 0.450 0.614
Br: 0.481 0.250 0.167
Br: 0.519 0.750 0.833
Br: 0.601 0.550 0.386
Br: 0.601 0.950 0.386
Br: 0.692 0.250 0.639
Br: 0.705 0.250 0.035
Br: 0.795 0.750 0.535
Br: 0.808 0.750 0.139
Br: 0.899 0.050 0.886
Br: 0.899 0.450 0.886
Br: 0.981 0.250 0.333
N: 0.126 0.092 0.427
N: 0.126 0.408 0.427
N: 0.374 0.592 0.927
N: 0.374 0.908 0.927
N: 0.626 0.092 0.073
N: 0.626 0.408 0.073
N: 0.874 0.592 0.573
N: 0.874 0.908 0.573

Most intense lines, 10 to 90 degrees two-theta, sorted by position:
11.21°, 7.891 Å, intensity 1000; 12.09°, 7.320 Å, intensity 228; 18.22°, 4.870 Å, intensity 273; 19.54°, 4.544 Å, intensity 288; 26.37°, 3.379 Å, intensity 283; 28.01°, 3.186 Å, intensity 292; 31.39°, 2.850 Å, intensity 324; 34.08°, 2.630 Å, intensity 254; 36.19°, 2.482 Å, intensity 251; 39.62°, 2.275 Å, intensity 365

---

What is the formula in the seventh record? KSrPrSeO6